# CsCd2SiTe4
Calculated powder X-ray diffraction pattern, Cu Kα (λ = 1.5418 Å). Input: a DFT-relaxed cell (PBE, Alexandria).
No peak broadening, texture or thermal motion is included.

The 10 most intense peaks (2θ from 10° to 80°), sorted by position:
24.15 deg, I = 86; 24.27 deg, I = 100; 26.77 deg, I = 49; 27.00 deg, I = 46; 31.92 deg, I = 31; 32.31 deg, I = 31; 35.37 deg, I = 32; 40.50 deg, I = 37; 40.74 deg, I = 33; 43.56 deg, I = 58

Cell and atoms:
```
CsCd2SiTe4
1.0
0.0000 5.6078 4.8905
5.5409 0.0000 4.8905
5.5409 5.6078 0.0000
Cs Cd Si Te
1 2 1 4
Cartesian
0.0000 0.0000 0.0000 Cs
2.7704 2.8039 2.4886 Cd
8.3113 8.4117 7.3792 Cd
5.5409 5.6078 4.8648 Si
7.6382 5.6078 3.4020 Te
5.5409 3.5124 6.3193 Te
3.4436 5.6078 3.4020 Te
5.5409 7.7032 6.3193 Te
```